This entry pairs a crystal structure of LiH6IO7 with its calculated powder XRD pattern. Radiation: Cu Kα, 1.54184 Å. Structure: a DFT-relaxed cell (PBE, the Materials Project).
Lines closer than 0.1° are merged.

Structural model:
```
LiH6IO7
1.0
5.7610 0.0000 0.0000
-2.4365 5.3457 0.0000
-0.8186 -2.7789 9.3440
Li H I O
2 12 2 14
direct
0.2491 0.2645 0.4915
0.7509 0.7355 0.5085
0.0537 0.8041 0.9332
0.1957 0.5411 0.7676
0.2809 0.9409 0.2292
0.2926 0.7314 0.5166
0.3184 0.6330 0.3579
0.3687 0.5929 0.0871
0.6313 0.4071 0.9129
0.6816 0.3670 0.6421
0.7074 0.2686 0.4834
0.7191 0.0591 0.7708
0.8043 0.4589 0.2324
0.9463 0.1959 0.0668
0.1720 0.1089 0.7829
0.8280 0.8911 0.2171
0.1554 0.8171 0.8539
0.1668 0.2967 0.9589
0.1704 0.9333 0.6037
0.1954 0.3874 0.6982
0.2080 0.0602 0.2739
0.3542 0.6189 0.4541
0.4434 0.7440 0.1767
0.5566 0.2560 0.8233
0.6458 0.3811 0.5459
0.7920 0.9398 0.7261
0.8046 0.6126 0.3018
0.8296 0.0667 0.3963
0.8332 0.7033 0.0411
0.8446 0.1829 0.1461
```

Main lines, low angle first (10 to 80 degrees two-theta):
2θ (°), Rel. int.
17.23, 62
17.31, 68
17.97, 58
18.20, 100
19.00, 77
21.33, 87
21.79, 75
22.03, 45

***

This entry pairs a crystal structure of NdZn3P3 with its calculated powder XRD pattern. Radiation: Cu Kα, 1.54184 Å. Structure: a DFT-relaxed cell (PBE, the Materials Project).
Lines closer than 0.1° are merged.

Structural model:
```
NdZn3P3
1.0
4.0527 0.0000 0.0000
-2.0263 3.5097 0.0000
0.0000 0.0000 20.0931
Nd Zn P
2 6 6
direct
0.0000 0.0000 0.0000
0.0000 0.0000 0.5000
0.3333 0.6667 0.1294
0.3333 0.6667 0.3706
0.3333 0.6667 0.7500
0.6667 0.3333 0.2500
0.6667 0.3333 0.6294
0.6667 0.3333 0.8706
0.3333 0.6667 0.2500
0.3333 0.6667 0.5875
0.3333 0.6667 0.9125
0.6667 0.3333 0.0875
0.6667 0.3333 0.4125
0.6667 0.3333 0.7500
```

Main lines, low angle first (10 to 80 degrees two-theta):
2θ (°), Rel. int.
26.91, 100
31.09, 67
33.91, 38
35.75, 31
37.11, 57
44.72, 73
52.48, 17
58.53, 43

***

This entry pairs a crystal structure of KCaNbBiO6 with its calculated powder XRD pattern. Radiation: Cu Kα, 1.54184 Å. Structure: a DFT-relaxed cell (PBE, the Materials Project).
Lines closer than 0.1° are merged.

Structural model:
```
KCaNbBiO6
1.0
0.0000 4.2133 4.2133
4.2133 0.0000 4.2133
4.2133 4.2133 0.0000
K Ca Nb Bi O
1 1 1 1 6
direct
0.0000 0.0000 0.0000
0.5000 0.5000 0.5000
0.7500 0.7500 0.7500
0.2500 0.2500 0.2500
0.5124 0.5124 0.9876
0.5124 0.9876 0.5124
0.5124 0.9876 0.9876
0.9876 0.5124 0.5124
0.9876 0.5124 0.9876
0.9876 0.9876 0.5124
```

Main lines, low angle first (10 to 80 degrees two-theta):
2θ (°), Rel. int.
18.24, 17
21.09, 61
29.99, 100
42.93, 34
48.30, 28
53.26, 40
62.33, 21
70.71, 18

***

This entry pairs a crystal structure of CaSnGe2O6 with its calculated powder XRD pattern. Radiation: Cu Kα, 1.54184 Å. Structure: a DFT-relaxed cell (PBE, the Materials Project).
Lines closer than 0.1° are merged.

Structural model:
```
CaSnGe2O6
1.0
10.8033 0.0000 0.0000
0.0000 10.1400 0.0000
-1.1177 0.0000 5.4285
Ca Sn Ge O
4 4 8 24
direct
0.2498 0.0661 0.2430
0.2498 0.4339 0.7430
0.7502 0.5661 0.2570
0.7502 0.9339 0.7570
0.2512 0.6336 0.2443
0.2512 0.8664 0.7443
0.7488 0.1336 0.2557
0.7488 0.3664 0.7557
0.0400 0.1517 0.7166
0.0400 0.3483 0.2166
0.4618 0.1520 0.7850
0.4618 0.3480 0.2850
0.5382 0.6520 0.7150
0.5382 0.8480 0.2150
0.9600 0.6517 0.7834
0.9600 0.8483 0.2834
0.0952 0.2159 0.4466
0.0952 0.2841 0.9466
0.1187 0.6111 0.8489
0.1187 0.8889 0.3489
0.1363 0.0228 0.8554
0.1363 0.4772 0.3554
0.3532 0.0351 0.6398
0.3532 0.4649 0.1398
0.3823 0.6021 0.6542
0.3823 0.8979 0.1542
0.4142 0.2088 0.0681
0.4142 0.2912 0.5681
0.5858 0.7088 0.4319
0.5858 0.7912 0.9319
0.6177 0.1021 0.8458
0.6177 0.3979 0.3458
0.6468 0.5351 0.8602
0.6468 0.9649 0.3602
0.8637 0.5228 0.6446
0.8637 0.9772 0.1446
0.8813 0.1111 0.6511
0.8813 0.3889 0.1511
0.9048 0.7159 0.0534
0.9048 0.7841 0.5534
```

Main lines, low angle first (10 to 80 degrees two-theta):
2θ (°), Rel. int.
18.94, 25
26.76, 44
27.42, 100
31.32, 72
31.42, 31
33.00, 36
35.41, 18
56.77, 26

***

This entry pairs a crystal structure of CdGaCu3Se4 with its calculated powder XRD pattern. Radiation: Cu Kα, 1.54184 Å. Structure: a DFT-relaxed cell (PBE, the Materials Project).
Lines closer than 0.1° are merged.

Structural model:
```
CdGaCu3Se4
1.0
5.9037 0.0000 0.0000
0.0000 5.9037 0.0000
0.0000 0.0000 5.9037
Cd Ga Cu Se
1 1 3 4
direct
0.0000 0.0000 0.0000
0.5000 0.5000 0.5000
0.0000 0.5000 0.5000
0.5000 0.0000 0.5000
0.5000 0.5000 0.0000
0.2600 0.2600 0.7400
0.2600 0.7400 0.2600
0.7400 0.2600 0.2600
0.7400 0.7400 0.7400
```

Main lines, low angle first (10 to 80 degrees two-theta):
2θ (°), Rel. int.
21.28, 19
26.14, 86
37.31, 9
43.35, 100
51.33, 38
62.98, 16
69.39, 14
79.54, 31

***

This entry pairs a crystal structure of Ho3ScO6 with its calculated powder XRD pattern. Radiation: Cu Kα, 1.54184 Å. Structure: a DFT-relaxed cell (PBE, the Materials Project).
Lines closer than 0.1° are merged.

Structural model:
```
Ho3ScO6
1.0
4.7301 2.7309 3.6616
-4.7301 2.7309 3.6616
0.0000 -5.4618 3.6616
Ho Sc O
6 2 12
direct
0.0606 0.7529 0.5683
0.2471 0.4317 0.9394
0.4317 0.9394 0.2471
0.5683 0.0606 0.7529
0.7529 0.5683 0.0606
0.9394 0.2471 0.4317
0.0000 0.0000 0.0000
0.5000 0.5000 0.5000
0.0366 0.6928 0.9064
0.0936 0.9634 0.3072
0.1928 0.4305 0.5863
0.3072 0.0936 0.9634
0.4137 0.8072 0.5695
0.4305 0.5863 0.1928
0.5695 0.4137 0.8072
0.5863 0.1928 0.4305
0.6928 0.9064 0.0366
0.8072 0.5695 0.4137
0.9064 0.0366 0.6928
0.9634 0.3072 0.0936
```

Main lines, low angle first (10 to 80 degrees two-theta):
2θ (°), Rel. int.
24.31, 39
29.98, 100
30.88, 42
33.21, 45
43.08, 20
44.08, 25
51.09, 23
53.68, 18

***

This entry pairs a crystal structure of Na3GdC3O9 with its calculated powder XRD pattern. Radiation: Cu Kα, 1.54184 Å. Structure: a DFT-relaxed cell (PBE, the Materials Project).
Lines closer than 0.1° are merged.

Structural model:
```
Na3GdC3O9
1.0
10.0365 0.0000 0.0000
0.0000 5.5468 3.5937
0.0000 -5.5468 3.5937
Na Gd C O
6 2 6 18
direct
0.0000 0.0000 0.0000
0.2500 0.6988 0.6633
0.2500 0.8603 0.2710
0.5000 0.0000 0.0000
0.7500 0.2710 0.8603
0.7500 0.6633 0.6988
0.2500 0.2962 0.8407
0.7500 0.8407 0.2962
0.0009 0.5369 0.9461
0.2500 0.3068 0.2838
0.4991 0.5369 0.9461
0.5009 0.9461 0.5369
0.7500 0.2838 0.3068
0.9991 0.9461 0.5369
0.0110 0.3473 0.9574
0.1092 0.6263 0.9092
0.1133 0.9656 0.6350
0.2500 0.1212 0.1022
0.2500 0.3017 0.4769
0.2500 0.4913 0.2593
0.3867 0.9656 0.6350
0.3908 0.6263 0.9092
0.4890 0.3473 0.9574
0.5110 0.9574 0.3473
0.6092 0.9092 0.6263
0.6133 0.6350 0.9656
0.7500 0.1022 0.1212
0.7500 0.2593 0.4913
0.7500 0.4769 0.3017
0.8867 0.6350 0.9656
0.8908 0.9092 0.6263
0.9890 0.9574 0.3473
```

Main lines, low angle first (10 to 80 degrees two-theta):
2θ (°), Rel. int.
15.98, 40
17.15, 100
17.67, 39
28.57, 25
30.58, 36
34.70, 41
35.79, 18
45.08, 17